# 1
This entry pairs a crystal structure of Li3Ag2 with its computed powder XRD pattern. Radiation: Cu Kα (λ = 1.5418 Å). Structure: a crystal structure in the Materials Project, relaxed with GGA-PBE.

```
Li3Ag2
1.0
3.341 0.000 0.000
0.000 3.341 0.000
0.000 0.000 14.920
Li Ag
6 4
Cartesian
0.000 0.000 0.000
0.000 0.000 2.982
0.000 0.000 5.855
0.000 0.000 9.066
0.000 0.000 11.938
1.671 1.671 7.460
1.671 1.671 1.486
1.671 1.671 4.460
1.671 1.671 10.460
1.671 1.671 13.434
```

Main lines, in order of rising 2θ (2θ = 10–80°):
two_theta, intensity
11.86, 21
26.68, 100
29.94, 37
38.09, 48
40.53, 80
49.19, 36
54.97, 16
62.15, 22
63.86, 16
70.48, 29

---

# 2
This entry pairs a crystal structure of Tb2Al3Si2 with its computed powder XRD pattern. Radiation: Cu Kα (λ = 1.5418 Å). Structure: a crystal structure in the Materials Project, relaxed with GGA-PBE.

```
Tb2Al3Si2
1.0
5.131 -2.027 0.000
5.131 2.027 0.000
-1.288 0.000 6.521
Tb Al Si
2 3 2
Cartesian
0.815 0.000 2.103
8.160 0.000 4.418
0.879 0.000 5.650
5.131 0.000 0.000
8.095 0.000 0.871
3.717 0.000 2.344
5.257 0.000 4.177
```

Main lines, in order of rising 2θ (2θ = 10–80°):
two_theta, intensity
13.58, 35
20.09, 41
23.66, 47
24.34, 42
28.24, 73
34.70, 42
35.10, 100
35.39, 54
35.65, 61
44.71, 30

---

# 3
This entry pairs a crystal structure of NaMg6C with its computed powder XRD pattern. Radiation: Cu Kα (λ = 1.5418 Å). Structure: a crystal structure in the Materials Project, relaxed with GGA-PBE.

```
NaMg6C
1.0
3.453 0.000 0.000
0.000 2.926 9.191
0.000 -2.926 9.191
Na Mg C
1 6 1
Cartesian
0.000 0.000 0.000
0.000 -1.437 4.627
0.000 1.437 4.627
1.726 0.000 2.533
1.726 -1.321 7.026
1.726 1.321 7.026
1.726 0.000 11.256
0.000 0.000 6.429
```

Main lines, in order of rising 2θ (2θ = 10–80°):
two_theta, intensity
28.68, 14
32.10, 47
32.44, 100
39.21, 30
41.64, 62
42.73, 27
50.59, 31
53.05, 15
63.37, 13
73.22, 15

---

# 4
This entry pairs a crystal structure of DySe with its computed powder XRD pattern. Radiation: Cu Kα (λ = 1.5418 Å). Structure: a crystal structure in the Materials Project, relaxed with GGA-PBE.

```
DySe
1.0
0.000 2.882 2.882
2.882 0.000 2.882
2.882 2.882 0.000
Dy Se
1 1
Cartesian
0.000 0.000 0.000
2.882 2.882 2.882
```

Main lines, in order of rising 2θ (2θ = 10–80°):
two_theta, intensity
26.79, 21
31.03, 100
44.45, 74
52.66, 11
55.19, 26
64.68, 12
71.31, 4
73.46, 33

---

# 5
This entry pairs a crystal structure of K2ThCu2S4 with its computed powder XRD pattern. Radiation: Cu Kα (λ = 1.5418 Å). Structure: a crystal structure in the Materials Project, relaxed with GGA-PBE.

```
K2ThCu2S4
1.0
7.269 -2.011 0.000
7.269 2.011 0.000
-2.599 0.000 7.166
K Th Cu S
2 1 2 4
Cartesian
1.838 0.000 0.471
10.102 0.000 6.695
-1.299 0.000 3.583
3.310 0.000 3.666
8.629 0.000 3.499
1.190 0.000 4.830
5.026 0.000 5.286
6.914 0.000 1.879
10.750 0.000 2.335
```

Main lines, in order of rising 2θ (2θ = 10–80°):
two_theta, intensity
12.35, 100
12.95, 14
23.05, 13
24.85, 19
29.43, 34
32.42, 28
34.28, 27
34.79, 30
42.66, 13
43.36, 15

---

# 6
This entry pairs a crystal structure of Mn2CrCo with its computed powder XRD pattern. Radiation: Cu Kα (λ = 1.5418 Å). Structure: a crystal structure in the Materials Project, relaxed with GGA-PBE.

```
Mn2CrCo
1.0
0.000 2.875 2.875
2.875 0.000 2.875
2.875 2.875 0.000
Mn Cr Co
2 1 1
Cartesian
1.437 1.437 1.437
4.312 4.312 4.312
0.000 0.000 0.000
2.875 2.875 2.875
```

Main lines, in order of rising 2θ (2θ = 10–80°):
two_theta, intensity
44.57, 100
64.87, 15